# 1
For DyErCoSi2, a structure optimized by DFT (PBE) gives the theoretical XRD peak list in this record (a wavelength of 1.5418 Å).
Kinematic intensities with the Lorentz-polarization factor, no thermal factor.

Structure:
```
DyErCoSi2
1.0
5.1822 -2.0614 0.0000
5.1822 2.0614 0.0000
-4.8252 0.0000 8.7102
Dy Er Co Si
2 2 2 4
direct
0.1867 0.1867 0.1070
0.8133 0.8133 0.8930
0.0019 0.0019 0.3294
0.9981 0.9981 0.6706
0.2716 0.2716 0.6203
0.7284 0.7284 0.3797
0.3515 0.3515 0.4341
0.4933 0.4933 0.1267
0.5067 0.5067 0.8733
0.6485 0.6485 0.5659
```

Main lines, low angle first (2θ = 10–80°):
23.71°, intensity 1000
27.29°, intensity 715
34.10°, intensity 812
34.43°, intensity 677
34.54°, intensity 999
34.65°, intensity 410
35.08°, intensity 902
37.79°, intensity 687
42.23°, intensity 553
43.92°, intensity 664

---

# 2
For Dy5Er2Co2Te2, a structure optimized by DFT (PBE) gives the theoretical XRD peak list in this record (a wavelength of 1.5418 Å).
Kinematic intensities with the Lorentz-polarization factor, no thermal factor.

Structure:
```
Dy5Er2Co2Te2
1.0
-1.9126 7.8231 4.7367
1.9126 -7.8231 4.7367
1.9126 7.8231 -4.7367
Dy Er Co Te
5 2 2 2
direct
0.0000 0.0000 0.0000
0.0809 0.7294 0.3515
0.3778 0.7294 0.6485
0.4484 0.5826 0.8658
0.7168 0.5826 0.1342
0.0639 0.3782 0.6857
0.6926 0.3782 0.3143
0.3081 0.0711 0.2369
0.8342 0.0711 0.7631
0.3368 0.3368 0.0000
0.7359 0.2359 0.5000
```

Main lines, low angle first (2θ = 10–80°):
28.95°, intensity 233
30.08°, intensity 227
30.58°, intensity 511
33.16°, intensity 828
34.12°, intensity 1000
34.39°, intensity 265
34.71°, intensity 530
36.91°, intensity 232
47.54°, intensity 295
59.19°, intensity 317

---

# 3
For DyEr6Co2Te2, a structure optimized by DFT (PBE) gives the theoretical XRD peak list in this record (a wavelength of 1.5418 Å).
Kinematic intensities with the Lorentz-polarization factor, no thermal factor.

Structure:
```
DyEr6Co2Te2
1.0
-1.9079 7.7805 4.7082
1.9079 -7.7805 4.7082
1.9079 7.7805 -4.7082
Dy Er Co Te
1 6 2 2
direct
0.0000 0.0000 0.0000
0.0604 0.3750 0.6854
0.0796 0.7288 0.3508
0.3780 0.7288 0.6492
0.4457 0.5804 0.8653
0.6896 0.3750 0.3146
0.7151 0.5804 0.1347
0.3072 0.0696 0.2376
0.8321 0.0696 0.7624
0.3363 0.3363 0.0000
0.7325 0.2325 0.5000
```

Main lines, low angle first (2θ = 10–80°):
29.04°, intensity 378
30.25°, intensity 214
30.70°, intensity 523
33.37°, intensity 842
34.27°, intensity 1000
34.59°, intensity 270
34.86°, intensity 540
37.09°, intensity 224
47.67°, intensity 296
59.43°, intensity 324

---

# 4
For Dy3Er4Co2Te2, a structure optimized by DFT (PBE) gives the theoretical XRD peak list in this record (a wavelength of 1.5418 Å).
Kinematic intensities with the Lorentz-polarization factor, no thermal factor.

Structure:
```
Dy3Er4Co2Te2
1.0
-1.9161 7.8282 4.7266
1.9161 -7.8282 4.7266
1.9161 7.8282 -4.7266
Dy Er Co Te
3 4 2 2
direct
0.0000 0.0000 0.0000
0.0818 0.7306 0.3512
0.3794 0.7306 0.6488
0.0627 0.3774 0.6853
0.4480 0.5825 0.8654
0.6922 0.3774 0.3147
0.7171 0.5825 0.1346
0.3083 0.0703 0.2380
0.8323 0.0703 0.7620
0.3385 0.3385 0.0000
0.7336 0.2336 0.5000
```

Main lines, low angle first (2θ = 10–80°):
28.90°, intensity 378
30.06°, intensity 217
30.57°, intensity 516
33.21°, intensity 833
34.09°, intensity 1000
34.37°, intensity 268
34.69°, intensity 551
36.93°, intensity 222
47.45°, intensity 296
59.14°, intensity 321

---

# 5
For Dy3YEr2CoTe2, a structure optimized by DFT (PBE) gives the theoretical XRD peak list in this record (a wavelength of 1.5418 Å).
Kinematic intensities with the Lorentz-polarization factor, no thermal factor.

Structure:
```
Dy3YEr2CoTe2
1.0
3.9062 0.0000 0.0000
0.0000 7.2042 4.1934
0.0000 -7.2042 4.1934
Dy Y Er Co Te
3 1 2 1 2
direct
0.0000 0.0000 0.0000
0.0000 0.5283 0.7649
0.0000 0.7649 0.5283
0.5000 0.3644 0.3644
0.5000 0.1627 0.7653
0.5000 0.7653 0.1627
0.5000 0.7697 0.7697
0.0000 0.0976 0.4316
0.0000 0.4316 0.0976
```

Main lines, low angle first (2θ = 10–80°):
31.36°, intensity 1000
32.63°, intensity 238
32.83°, intensity 527
33.74°, intensity 460
33.85°, intensity 181
37.21°, intensity 209
40.32°, intensity 255
46.50°, intensity 200
58.00°, intensity 184
60.74°, intensity 193

---

# 6
For Dy2YEr4Co2Te2, a structure optimized by DFT (PBE) gives the theoretical XRD peak list in this record (a wavelength of 1.5418 Å).
Kinematic intensities with the Lorentz-polarization factor, no thermal factor.

Structure:
```
Dy2YEr4Co2Te2
1.0
-1.9072 7.7877 4.7247
1.9072 -7.7877 4.7247
1.9072 7.7877 -4.7247
Dy Y Er Co Te
2 1 4 2 2
direct
0.1335 0.0000 0.1335
0.8665 0.0000 0.8665
0.5817 0.5817 0.0000
0.2038 0.8525 0.3513
0.5012 0.8525 0.6487
0.5174 0.2033 0.3141
0.8892 0.2033 0.6859
0.2731 0.5102 0.7629
0.7473 0.5102 0.2371
0.2470 0.2470 0.0000
0.8459 0.3459 0.5000
```

Main lines, low angle first (2θ = 10–80°):
25.18°, intensity 261
30.67°, intensity 432
33.27°, intensity 838
34.25°, intensity 1000
34.55°, intensity 242
34.82°, intensity 611
37.01°, intensity 204
38.84°, intensity 218
47.68°, intensity 293
59.38°, intensity 320

---

# 7
For DyFeCo, a structure optimized by DFT (PBE) gives the theoretical XRD peak list in this record (a wavelength of 1.5418 Å).
Kinematic intensities with the Lorentz-polarization factor, no thermal factor.

Structure:
```
DyFeCo
1.0
5.0672 0.0000 0.0000
0.0000 5.2323 0.0000
0.0000 0.0000 7.0592
Dy Fe Co
4 4 4
direct
0.0000 0.2500 0.1257
0.0000 0.7500 0.8743
0.5000 0.2500 0.3743
0.5000 0.7500 0.6257
0.2500 0.2500 0.7500
0.2500 0.7500 0.2500
0.7500 0.2500 0.7500
0.7500 0.7500 0.2500
0.0000 0.0000 0.5000
0.0000 0.5000 0.5000
0.5000 0.0000 0.0000
0.5000 0.5000 0.0000
```

Main lines, low angle first (2θ = 10–80°):
21.14°, intensity 160
34.28°, intensity 209
35.43°, intensity 1000
40.87°, intensity 636
41.62°, intensity 589
42.11°, intensity 278
42.35°, intensity 294
62.13°, intensity 157
63.60°, intensity 222
74.96°, intensity 323

---

# 8
For Dy2HoFe6Co3, a structure optimized by DFT (PBE) gives the theoretical XRD peak list in this record (a wavelength of 1.5418 Å).
Kinematic intensities with the Lorentz-polarization factor, no thermal factor.

Structure:
```
Dy2HoFe6Co3
1.0
2.5177 1.4536 8.1058
-2.5177 1.4536 8.1058
0.0000 -2.9071 8.1058
Dy Ho Fe Co
2 1 6 3
direct
0.1420 0.1420 0.1420
0.8580 0.8580 0.8580
0.0000 0.0000 0.0000
0.0816 0.5815 0.5815
0.4185 0.4185 0.9184
0.4185 0.9184 0.4185
0.5815 0.0816 0.5815
0.5815 0.5815 0.0816
0.9184 0.4185 0.4185
0.3325 0.3325 0.3325
0.5000 0.5000 0.5000
0.6675 0.6675 0.6675
```

Main lines, low angle first (2θ = 10–80°):
32.97°, intensity 505
35.66°, intensity 566
36.02°, intensity 345
41.59°, intensity 364
42.26°, intensity 1000
62.36°, intensity 163
64.29°, intensity 126
68.59°, intensity 225
69.14°, intensity 133
75.53°, intensity 201

---

Which formula does entry 5 have? Dy3YEr2CoTe2

---

Number 7 is which compound? DyFeCo